Li4Cr3Fe2Sb3O16: theoretical XRD peak list (Cu Kα X-rays), based on a PBE+U-relaxed structure.
Kinematic intensities with the Lorentz-polarization factor, no thermal factor.

Top 12 peaks for 2θ = 10–90°, most intense first:
- 17.9 deg, intensity 100
- 19.0 deg, intensity 82
- 35.1 deg, intensity 54
- 43.8 deg, intensity 34
- 34.6 deg, intensity 31
- 24.6 deg, intensity 30
- 31.9 deg, intensity 28
- 35.3 deg, intensity 26
- 60.9 deg, intensity 24
- 38.6 deg, intensity 23
- 58.1 deg, intensity 22
- 43.9 deg, intensity 21

Cell and atoms:
```
data_Li4Cr3Fe2Sb3O16
_chemical_formula_sum 'Li4 Cr3 Fe2 Sb3 O16'
_cell_length_a 6.088
_cell_length_b 6.090
_cell_length_c 9.917
_cell_angle_alpha 89.96
_cell_angle_beta 89.87
_cell_angle_gamma 60.39
_space_group_name_H-M_alt 'P 1'
_space_group_IT_number 1
_space_group_name_Hall 'P 1'
loop_
_atom_site_label
_atom_site_fract_x
_atom_site_fract_y
_atom_site_fract_z
_atom_site_occupancy
Li1 0.000 0.000 0.000 1
Li2 0.003 0.003 0.485 1
Li3 0.340 0.338 0.588 1
Li4 0.675 0.674 0.123 1
Cr1 0.180 0.674 0.276 1
Cr2 0.675 0.179 0.276 1
Cr3 0.844 0.843 0.774 1
Fe1 0.357 0.357 0.015 1
Fe2 0.684 0.685 0.477 1
Sb1 0.181 0.180 0.276 1
Sb2 0.349 0.843 0.775 1
Sb3 0.844 0.348 0.775 1
O1 0.013 0.011 0.178 1
O2 0.013 0.011 0.670 1
O3 0.044 0.491 0.158 1
O4 0.168 0.167 0.887 1
O5 0.172 0.703 0.883 1
O6 0.322 0.859 0.388 1
O7 0.343 0.344 0.385 1
O8 0.492 0.042 0.158 1
O9 0.493 0.494 0.161 1
O10 0.524 0.523 0.661 1
O11 0.524 0.979 0.663 1
O12 0.679 0.678 0.887 1
O13 0.704 0.171 0.883 1
O14 0.856 0.852 0.384 1
O15 0.861 0.321 0.389 1
O16 0.980 0.522 0.663 1
```

---

Li4Ti2Cr3Fe3O16: theoretical XRD peak list (Cu Kα X-rays), based on a PBE+U-relaxed structure.
Kinematic intensities with the Lorentz-polarization factor, no thermal factor.

Top 12 peaks for 2θ = 10–90°, most intense first:
- 19.8 deg, intensity 100
- 18.8 deg, intensity 73
- 45.8 deg, intensity 67
- 36.6 deg, intensity 58
- 36.0 deg, intensity 48
- 61.1 deg, intensity 46
- 40.2 deg, intensity 45
- 63.3 deg, intensity 42
- 33.5 deg, intensity 36
- 25.7 deg, intensity 30
- 52.9 deg, intensity 21
- 56.0 deg, intensity 20

Cell and atoms:
```
data_Li4Ti2Cr3Fe3O16
_chemical_formula_sum 'Li4 Ti2 Cr3 Fe3 O16'
_cell_length_a 5.877
_cell_length_b 5.877
_cell_length_c 9.449
_cell_angle_alpha 90.03
_cell_angle_beta 90.03
_cell_angle_gamma 60.06
_space_group_name_H-M_alt 'P 1'
_space_group_IT_number 1
_space_group_name_Hall 'P 1'
loop_
_atom_site_label
_atom_site_fract_x
_atom_site_fract_y
_atom_site_fract_z
_atom_site_occupancy
Li1 0.000 0.000 0.000 1
Li2 0.002 0.002 0.500 1
Li3 0.328 0.328 0.599 1
Li4 0.664 0.664 0.097 1
Ti1 0.337 0.337 0.009 1
Ti2 0.666 0.666 0.495 1
Cr1 0.168 0.658 0.280 1
Cr2 0.658 0.168 0.280 1
Cr3 0.829 0.829 0.780 1
Fe1 0.169 0.169 0.277 1
Fe2 0.338 0.829 0.780 1
Fe3 0.829 0.338 0.780 1
O1 0.000 0.000 0.186 1
O2 0.002 0.002 0.688 1
O3 0.038 0.483 0.145 1
O4 0.162 0.162 0.893 1
O5 0.170 0.670 0.896 1
O6 0.329 0.329 0.390 1
O7 0.337 0.825 0.402 1
O8 0.479 0.479 0.151 1
O9 0.483 0.038 0.145 1
O10 0.513 0.956 0.657 1
O11 0.519 0.519 0.659 1
O12 0.661 0.661 0.884 1
O13 0.670 0.170 0.896 1
O14 0.825 0.337 0.402 1
O15 0.831 0.831 0.402 1
O16 0.956 0.513 0.657 1
```

---

Li4Ti3Cr2Fe3O16: theoretical XRD peak list (Cu Kα X-rays), based on a PBE+U-relaxed structure.
Kinematic intensities with the Lorentz-polarization factor, no thermal factor.

Top 12 peaks for 2θ = 10–90°, most intense first:
- 18.5 deg, intensity 100
- 19.6 deg, intensity 90
- 19.6 deg, intensity 82
- 35.6 deg, intensity 60
- 45.4 deg, intensity 52
- 62.6 deg, intensity 46
- 36.1 deg, intensity 40
- 36.2 deg, intensity 39
- 60.3 deg, intensity 37
- 39.9 deg, intensity 37
- 45.2 deg, intensity 36
- 35.5 deg, intensity 31

Cell and atoms:
```
data_Li4Ti3Cr2Fe3O16
_chemical_formula_sum 'Li4 Ti3 Cr2 Fe3 O16'
_cell_length_a 5.936
_cell_length_b 5.936
_cell_length_c 9.605
_cell_angle_alpha 90.38
_cell_angle_beta 90.38
_cell_angle_gamma 59.89
_space_group_name_H-M_alt 'P 1'
_space_group_IT_number 1
_space_group_name_Hall 'P 1'
loop_
_atom_site_label
_atom_site_fract_x
_atom_site_fract_y
_atom_site_fract_z
_atom_site_occupancy
Li1 0.000 0.000 0.000 1
Li2 0.000 0.000 0.498 1
Li3 0.327 0.327 0.103 1
Li4 0.663 0.663 0.599 1
Ti1 0.164 0.660 0.781 1
Ti2 0.660 0.164 0.781 1
Ti3 0.827 0.827 0.281 1
Cr1 0.331 0.331 0.509 1
Cr2 0.660 0.660 0.012 1
Fe1 0.165 0.165 0.781 1
Fe2 0.336 0.826 0.282 1
Fe3 0.826 0.336 0.282 1
O1 0.039 0.483 0.653 1
O2 0.155 0.666 0.394 1
O3 0.162 0.162 0.395 1
O4 0.324 0.823 0.893 1
O5 0.333 0.333 0.891 1
O6 0.477 0.477 0.658 1
O7 0.483 0.039 0.653 1
O8 0.515 0.515 0.154 1
O9 0.523 0.955 0.154 1
O10 0.666 0.155 0.394 1
O11 0.666 0.666 0.392 1
O12 0.823 0.324 0.893 1
O13 0.831 0.831 0.889 1
O14 0.955 0.523 0.154 1
O15 0.994 0.994 0.684 1
O16 0.996 0.996 0.186 1
```

---

Li4Cr3Fe3W2O16: theoretical XRD peak list (Cu Kα X-rays), based on a PBE+U-relaxed structure.
Kinematic intensities with the Lorentz-polarization factor, no thermal factor.

Top 12 peaks for 2θ = 10–90°, most intense first:
- 19.5 deg, intensity 100
- 19.3 deg, intensity 98
- 62.0 deg, intensity 32
- 35.1 deg, intensity 30
- 35.2 deg, intensity 29
- 25.0 deg, intensity 29
- 35.4 deg, intensity 29
- 29.9 deg, intensity 24
- 32.5 deg, intensity 24
- 35.8 deg, intensity 23
- 35.9 deg, intensity 23
- 32.7 deg, intensity 23

Cell and atoms:
```
data_Li4Cr3Fe3W2O16
_chemical_formula_sum 'Li4 Cr3 Fe3 W2 O16'
_cell_length_a 5.983
_cell_length_b 5.987
_cell_length_c 9.709
_cell_angle_alpha 89.33
_cell_angle_beta 89.44
_cell_angle_gamma 60.05
_space_group_name_H-M_alt 'P 1'
_space_group_IT_number 1
_space_group_name_Hall 'P 1'
loop_
_atom_site_label
_atom_site_fract_x
_atom_site_fract_y
_atom_site_fract_z
_atom_site_occupancy
Li1 0.000 0.000 0.000 1
Li2 0.003 0.992 0.501 1
Li3 0.338 0.327 0.086 1
Li4 0.673 0.664 0.582 1
Cr1 0.174 0.168 0.776 1
Cr2 0.345 0.826 0.276 1
Cr3 0.837 0.336 0.275 1
Fe1 0.189 0.651 0.772 1
Fe2 0.665 0.167 0.780 1
Fe3 0.837 0.826 0.279 1
W1 0.343 0.324 0.503 1
W2 0.675 0.665 0.005 1
O1 0.007 0.998 0.186 1
O2 0.009 0.990 0.689 1
O3 0.046 0.471 0.642 1
O4 0.175 0.166 0.397 1
O5 0.186 0.646 0.403 1
O6 0.328 0.339 0.882 1
O7 0.348 0.826 0.900 1
O8 0.470 0.036 0.639 1
O9 0.483 0.478 0.635 1
O10 0.511 0.955 0.138 1
O11 0.524 0.516 0.147 1
O12 0.661 0.172 0.402 1
O13 0.670 0.658 0.381 1
O14 0.830 0.826 0.905 1
O15 0.836 0.348 0.902 1
O16 0.964 0.506 0.139 1
```